(1)
# CeNpCu2O8
Computed powder diffractogram, a wavelength of 1.5418 Å. Input: a cell relaxed with GGA-PBE.

Largest 12 diffraction maxima, in order of rising 2θ, 2θ = 15–90°:
- 18.8 deg, 4.712 Å, I = 39, (1 0 1)
- 29.3 deg, 3.048 Å, I = 100, (1 1 2)
- 33.6 deg, 2.668 Å, I = 21, (0 0 4)
- 34.2 deg, 2.625 Å, I = 24, (2 0 0)
- 39.3 deg, 2.293 Å, I = 13, (2 1 1)
- 46.3 deg, 1.960 Å, I = 10, (2 1 3)
- 48.7 deg, 1.871 Å, I = 24, (2 0 4)
- 49.1 deg, 1.856 Å, I = 15, (2 2 0)
- 57.4 deg, 1.604 Å, I = 16, (1 1 6)
- 58.2 deg, 1.585 Å, I = 34, (1 3 2)
- 60.8 deg, 1.524 Å, I = 14, (2 2 4)
- 78.9 deg, 1.214 Å, I = 12, (3 1 6)

Structural model:
```
data_CeNpCu2O8
_space_group_name_H-M_alt 'I -4'
_space_group_IT_number 82
_cell_length_a 5.2508
_cell_length_b 5.2508
_cell_length_c 10.6730
_cell_angle_alpha 90.00
_cell_angle_beta 90.00
_cell_angle_gamma 90.00
loop_
_space_group_symop_operation_xyz
'x,y,z'
'y,-x,-z'
'-x,-y,z'
'-y,x,-z'
'x+1/2,y+1/2,z+1/2'
'y+1/2,-x+1/2,-z+1/2'
'-x+1/2,-y+1/2,z+1/2'
'-y+1/2,x+1/2,-z+1/2'
loop_
_atom_site_label
_atom_site_type_symbol
_atom_site_fract_x
_atom_site_fract_y
_atom_site_fract_z
Ce1 Ce 0.0000 0.0000 0.0000
Np1 Np 0.0000 0.5000 0.7500
Cu1 Cu 0.0000 0.0000 0.5000
Cu2 Cu 0.0000 0.5000 0.2500
O1 O 0.1508 0.3011 0.5562
O2 O 0.1906 0.8005 0.2024
```



(2)
# CeCu7O12
Computed powder diffractogram, a wavelength of 1.5418 Å. Input: a cell relaxed with GGA-PBE.

Largest 12 diffraction maxima, in order of rising 2θ, 2θ = 15–90°:
- 17.1 deg, 5.199 Å, I = 8, (1 1 0)
- 29.8 deg, 3.002 Å, I = 2, (2 1 1)
- 34.5 deg, 2.600 Å, I = 100, (2 2 0)
- 38.7 deg, 2.325 Å, I = 7, (3 0 1)
- 42.6 deg, 2.123 Å, I = 2, (2 2 2)
- 46.2 deg, 1.965 Å, I = 7, (3 1 2)
- 49.6 deg, 1.838 Å, I = 24, (4 0 0)
- 61.8 deg, 1.501 Å, I = 46, (4 2 2)
- 64.6 deg, 1.442 Å, I = 2, (4 3 1)
- 72.8 deg, 1.300 Å, I = 12, (4 4 0)
- 80.5 deg, 1.193 Å, I = 2, (5 2 3)
- 83.1 deg, 1.163 Å, I = 16, (6 2 0)

Structural model:
```
data_CeCu7O12
_space_group_name_H-M_alt 'I m -3'
_space_group_IT_number 204
_space_group_name_Hall '-I 2 2 3'
_cell_length_a 7.3531
_cell_length_b 7.3531
_cell_length_c 7.3531
_cell_angle_alpha 90.00
_cell_angle_beta 90.00
_cell_angle_gamma 90.00
loop_
_atom_site_label
_atom_site_type_symbol
_atom_site_fract_x
_atom_site_fract_y
_atom_site_fract_z
Ce1 Ce 0.0000 0.0000 0.0000
Cu1 Cu 0.0000 0.0000 0.5000
Cu2 Cu 0.2500 0.2500 0.2500
O1 O 0.0000 0.3056 0.1681
```



(3)
# CeCuP2O8
Computed powder diffractogram, a wavelength of 1.5418 Å. Input: a cell relaxed with GGA-PBE.

Largest 12 diffraction maxima, in order of rising 2θ, 2θ = 15–90°:
- 19.9 deg, 4.462 Å, I = 100, (1 0 0)
- 24.0 deg, 3.701 Å, I = 35, (1 0 1)
- 33.7 deg, 2.661 Å, I = 74, (1 0 2)
- 34.8 deg, 2.576 Å, I = 58, (1 1 0)
- 37.5 deg, 2.401 Å, I = 20, (1 1 1)
- 44.5 deg, 2.034 Å, I = 36, (2 -1 2)
- 49.2 deg, 1.851 Å, I = 42, (0 2 2)
- 54.4 deg, 1.686 Å, I = 14, (1 2 0)
- 59.5 deg, 1.554 Å, I = 12, (0 1 4)
- 61.7 deg, 1.503 Å, I = 26, (2 1 2)
- 67.2 deg, 1.394 Å, I = 14, (1 1 4)
- 73.5 deg, 1.288 Å, I = 11, (2 2 0)

Structural model:
```
data_CeCuP2O8
_space_group_name_H-M_alt 'P -3'
_space_group_IT_number 147
_cell_length_a 5.1518
_cell_length_b 5.1518
_cell_length_c 6.6290
_cell_angle_alpha 90.00
_cell_angle_beta 90.00
_cell_angle_gamma 120.00
loop_
_space_group_symop_operation_xyz
'x,y,z'
'-x,-y,-z'
'-y,x-y,z'
'y,-x+y,-z'
'-x+y,-x,z'
'x-y,x,-z'
loop_
_atom_site_label
_atom_site_type_symbol
_atom_site_fract_x
_atom_site_fract_y
_atom_site_fract_z
Ce1 Ce 0.0000 0.0000 0.0000
Cu1 Cu 0.0000 0.0000 0.5000
P1 P 0.3333 0.6667 0.7850
O1 O 0.1658 0.3356 0.7151
O2 O 0.3333 0.6667 0.0175
```